[1]
This entry pairs a crystal structure of Hg3H4Pd9 with its calculated X-ray powder pattern. Radiation: Cu Ka. Structure: a cell relaxed with GGA-PBE.
Peak positions follow from Bragg's law for the DFT cell and can differ from measured ones.

Main lines, in order of rising 2θ (15° ≤ 2θ ≤ 90°):
2θ (°), I/Imax
35.40, 53.2
36.40, 13.5
37.06, 100.0
39.59, 15.6
41.40, 36.0
45.95, 73.3
57.92, 16.4
65.08, 29.7
68.91, 14.2
76.31, 34.3
77.12, 17.6
83.30, 13.5

Cell and atoms:
a b c (Å): 8.297 8.297 8.297
angles (deg): 40.43 40.43 40.43
Atoms (fractional coordinates):
Hg1 0.000 0.000 0.000
Hg2 0.437 0.437 0.437
Hg3 0.563 0.563 0.563
H1 0.141 0.141 0.141
H2 0.285 0.285 0.285
H3 0.715 0.715 0.715
H4 0.859 0.859 0.859
Pd1 0.000 0.500 0.500
Pd2 0.061 0.061 0.559
Pd3 0.061 0.559 0.061
Pd4 0.441 0.939 0.939
Pd5 0.500 0.000 0.500
Pd6 0.500 0.500 0.000
Pd7 0.559 0.061 0.061
Pd8 0.939 0.441 0.939
Pd9 0.939 0.939 0.441

[2]
This entry pairs a crystal structure of Pr2GaPPt6 with its calculated X-ray powder pattern. Radiation: Cu Ka. Structure: a cell relaxed with GGA-PBE.
Peak positions follow from Bragg's law for the DFT cell and can differ from measured ones.

Main lines, in order of rising 2θ (15° ≤ 2θ ≤ 90°):
2θ (°), I/Imax
21.46, 20.3
26.78, 27.8
29.90, 80.9
34.02, 38.9
38.34, 100.0
38.84, 61.6
41.87, 51.7
42.07, 38.3
44.35, 28.4
48.78, 21.8
58.43, 37.0
74.12, 16.1

Cell and atoms:
a b c (Å): 5.596 8.631 8.283
angles (deg): 90.00 90.00 90.00
Atoms (fractional coordinates):
Pr1 0.250 0.011 0.227
Pr2 0.250 0.489 0.227
Pr3 0.750 0.511 0.773
Pr4 0.750 0.989 0.773
Ga1 0.250 0.750 0.779
Ga2 0.750 0.250 0.221
P1 0.250 0.250 0.742
P2 0.750 0.750 0.258
Pt1 0.001 0.250 0.971
Pt2 0.002 0.750 0.512
Pt3 0.250 0.004 0.615
Pt4 0.250 0.496 0.615
Pt5 0.498 0.750 0.512
Pt6 0.499 0.250 0.971
Pt7 0.501 0.750 0.029
Pt8 0.502 0.250 0.488
Pt9 0.750 0.504 0.385
Pt10 0.750 0.996 0.385
Pt11 0.998 0.250 0.488
Pt12 0.999 0.750 0.029

[3]
This entry pairs a crystal structure of Li2As2IrPd with its calculated X-ray powder pattern. Radiation: Cu Ka. Structure: a cell relaxed with GGA-PBE.
Peak positions follow from Bragg's law for the DFT cell and can differ from measured ones.

Main lines, in order of rising 2θ (15° ≤ 2θ ≤ 90°):
2θ (°), I/Imax
17.18, 37.5
26.38, 75.0
34.44, 81.5
34.76, 79.5
43.07, 100.0
43.33, 96.9
44.84, 89.1
47.34, 61.4
64.75, 27.9
78.07, 33.0
81.27, 30.9
81.82, 40.0

Cell and atoms:
a b c (Å): 7.363 7.363 7.363
angles (deg): 134.57 66.61 134.04
Atoms (fractional coordinates):
Li1 0.158 0.239 0.397
Li2 0.342 0.739 0.080
Li3 0.658 0.261 0.920
Li4 0.842 0.761 0.603
As1 0.126 0.734 0.860
As2 0.374 0.234 0.608
As3 0.626 0.766 0.392
As4 0.874 0.266 0.140
Ir1 0.250 0.750 0.500
Ir2 0.750 0.250 0.500
Pd1 0.250 0.250 0.000
Pd2 0.750 0.750 0.000

[4]
This entry pairs a crystal structure of SiHgS with its calculated X-ray powder pattern. Radiation: Cu Ka. Structure: a cell relaxed with GGA-PBE.
Peak positions follow from Bragg's law for the DFT cell and can differ from measured ones.

Main lines, in order of rising 2θ (15° ≤ 2θ ≤ 90°):
2θ (°), I/Imax
18.62, 11.7
22.01, 14.3
23.88, 34.1
28.60, 100.0
30.23, 17.2
33.28, 12.8
35.71, 15.2
45.92, 13.7
47.49, 14.0
49.63, 10.7
52.70, 15.8
56.64, 11.8

Cell and atoms:
a b c (Å): 10.309 10.309 11.826
angles (deg): 124.88 124.88 28.21
Atoms (fractional coordinates):
Si1 0.148 0.552 0.842
Si2 0.170 0.830 0.500
Si3 0.424 0.973 0.406
Si4 0.552 0.148 0.342
Si5 0.830 0.170 0.000
Si6 0.973 0.424 0.906
Hg1 0.076 0.118 0.941
Hg2 0.118 0.076 0.441
Hg3 0.569 0.621 0.705
Hg4 0.621 0.569 0.205
Hg5 0.780 0.784 0.628
Hg6 0.784 0.780 0.128
S1 0.024 0.838 0.042
S2 0.229 0.310 0.368
S3 0.310 0.229 0.868
S4 0.334 0.505 0.312
S5 0.505 0.334 0.812
S6 0.838 0.024 0.542

[5]
This entry pairs a crystal structure of PmSm2P3 with its calculated X-ray powder pattern. Radiation: Cu Ka. Structure: a cell relaxed with GGA-PBE.
Peak positions follow from Bragg's law for the DFT cell and can differ from measured ones.

Main lines, in order of rising 2θ (15° ≤ 2θ ≤ 90°):
2θ (°), I/Imax
26.52, 81.6
30.72, 100.0
44.00, 73.4
52.11, 40.3
54.62, 25.7
63.98, 11.9
70.49, 8.1
70.55, 8.1
72.60, 16.5
72.67, 16.4
80.89, 20.7
86.93, 7.9

Cell and atoms:
a b c (Å): 4.121 5.817 12.343
angles (deg): 90.00 90.00 90.00
Atoms (fractional coordinates):
Pm1 0.000 0.000 0.000
Pm2 0.500 0.500 0.500
Sm1 0.000 0.000 0.333
Sm2 0.000 0.000 0.667
Sm3 0.500 0.500 0.167
Sm4 0.500 0.500 0.833
P1 0.000 0.500 0.000
P2 0.000 0.500 0.333
P3 0.000 0.500 0.667
P4 0.500 0.000 0.167
P5 0.500 0.000 0.500
P6 0.500 0.000 0.833

[6]
This entry pairs a crystal structure of La2Pm4DyY2 with its calculated X-ray powder pattern. Radiation: Cu Ka. Structure: a cell relaxed with GGA-PBE.
Peak positions follow from Bragg's law for the DFT cell and can differ from measured ones.

Main lines, in order of rising 2θ (15° ≤ 2θ ≤ 90°):
2θ (°), I/Imax
28.26, 40.6
30.50, 49.6
31.22, 100.0
32.88, 89.4
39.36, 15.5
44.63, 12.5
49.53, 12.8
49.69, 25.3
53.57, 21.1
56.79, 19.2
59.29, 15.0
59.43, 29.5

Cell and atoms:
a b c (Å): 9.701 9.701 9.757
angles (deg): 115.19 115.19 21.87
Atoms (fractional coordinates):
La1 0.165 0.165 0.000
La2 0.835 0.835 0.000
Pm1 0.019 0.019 0.334
Pm2 0.314 0.314 0.665
Pm3 0.686 0.686 0.335
Pm4 0.981 0.981 0.666
Dy1 0.500 0.500 0.000
Y1 0.353 0.353 0.335
Y2 0.647 0.647 0.665

[7]
This entry pairs a crystal structure of LiGaAgGe with its calculated X-ray powder pattern. Radiation: Cu Ka. Structure: a cell relaxed with GGA-PBE.
Peak positions follow from Bragg's law for the DFT cell and can differ from measured ones.

Main lines, in order of rising 2θ (15° ≤ 2θ ≤ 90°):
2θ (°), I/Imax
23.71, 21.3
27.45, 22.1
39.21, 100.0
46.34, 10.3
48.53, 5.9
56.66, 16.4
62.28, 4.1
64.08, 7.4
71.07, 32.5
76.11, 3.0
84.30, 10.3
89.15, 3.0

Cell and atoms:
a b c (Å): 6.498 6.498 6.498
angles (deg): 90.00 90.00 90.00
Atoms (fractional coordinates):
Li1 0.000 0.000 0.000
Li2 0.000 0.500 0.500
Li3 0.500 0.000 0.500
Li4 0.500 0.500 0.000
Ga1 0.000 0.000 0.500
Ga2 0.000 0.500 0.000
Ga3 0.500 0.000 0.000
Ga4 0.500 0.500 0.500
Ag1 0.250 0.250 0.250
Ag2 0.250 0.750 0.750
Ag3 0.750 0.250 0.750
Ag4 0.750 0.750 0.250
Ge1 0.250 0.250 0.750
Ge2 0.250 0.750 0.250
Ge3 0.750 0.250 0.250
Ge4 0.750 0.750 0.750

[8]
This entry pairs a crystal structure of PSBr3 with its calculated X-ray powder pattern. Radiation: Cu Ka. Structure: a cell relaxed with GGA-PBE.
Peak positions follow from Bragg's law for the DFT cell and can differ from measured ones.

Main lines, in order of rising 2θ (15° ≤ 2θ ≤ 90°):
2θ (°), I/Imax
20.67, 28.8
22.15, 53.5
22.71, 66.0
26.31, 100.0
26.49, 30.5
32.05, 57.5
32.45, 76.6
34.17, 31.7
39.20, 29.4
42.04, 40.2
46.73, 41.3
52.30, 37.9

Cell and atoms:
a b c (Å): 8.748 8.748 8.748
angles (deg): 127.21 79.41 125.38
Atoms (fractional coordinates):
P1 0.242 0.250 0.492
P2 0.758 0.750 0.508
S1 0.090 0.016 0.574
S2 0.443 0.516 0.426
Br1 0.105 0.448 0.646
Br2 0.105 0.959 0.157
Br3 0.493 0.333 0.660
Br4 0.674 0.833 0.340
Br5 0.802 0.459 0.354
Br6 0.802 0.948 0.843

[9]
This entry pairs a crystal structure of Pm8HoTm4 with its calculated X-ray powder pattern. Radiation: Cu Ka. Structure: a cell relaxed with GGA-PBE.
Peak positions follow from Bragg's law for the DFT cell and can differ from measured ones.

Main lines, in order of rising 2θ (15° ≤ 2θ ≤ 90°):
2θ (°), I/Imax
27.99, 25.1
28.70, 16.3
31.18, 100.0
32.59, 34.4
34.39, 9.8
38.17, 39.1
50.51, 29.4
50.62, 13.3
58.74, 18.8
60.57, 13.9
62.54, 8.2
82.69, 10.6

Cell and atoms:
a b c (Å): 10.432 10.432 10.432
angles (deg): 40.53 40.53 40.53
Atoms (fractional coordinates):
Pm1 0.207 0.751 0.751
Pm2 0.213 0.213 0.213
Pm3 0.249 0.249 0.793
Pm4 0.249 0.793 0.249
Pm5 0.751 0.207 0.751
Pm6 0.751 0.751 0.207
Pm7 0.787 0.787 0.787
Pm8 0.793 0.249 0.249
Ho1 0.500 0.500 0.500
Tm1 0.000 0.000 0.000
Tm2 0.000 0.500 0.500
Tm3 0.500 0.000 0.500
Tm4 0.500 0.500 0.000

Copy entry 1 word for word.
This entry pairs a crystal structure of Hg3H4Pd9 with its calculated X-ray powder pattern. Radiation: Cu Ka. Structure: a cell relaxed with GGA-PBE.
Peak positions follow from Bragg's law for the DFT cell and can differ from measured ones.

Main lines, in order of rising 2θ (15° ≤ 2θ ≤ 90°):
2θ (°), I/Imax
35.40, 53.2
36.40, 13.5
37.06, 100.0
39.59, 15.6
41.40, 36.0
45.95, 73.3
57.92, 16.4
65.08, 29.7
68.91, 14.2
76.31, 34.3
77.12, 17.6
83.30, 13.5

Cell and atoms:
a b c (Å): 8.297 8.297 8.297
angles (deg): 40.43 40.43 40.43
Atoms (fractional coordinates):
Hg1 0.000 0.000 0.000
Hg2 0.437 0.437 0.437
Hg3 0.563 0.563 0.563
H1 0.141 0.141 0.141
H2 0.285 0.285 0.285
H3 0.715 0.715 0.715
H4 0.859 0.859 0.859
Pd1 0.000 0.500 0.500
Pd2 0.061 0.061 0.559
Pd3 0.061 0.559 0.061
Pd4 0.441 0.939 0.939
Pd5 0.500 0.000 0.500
Pd6 0.500 0.500 0.000
Pd7 0.559 0.061 0.061
Pd8 0.939 0.441 0.939
Pd9 0.939 0.939 0.441